Mn2NbNi3P6O24: calculated PXRD pattern (Cu Kα X-rays), based on DFT lattice parameters and positions (GGA+U).

Structural model:
a = 8.6514 Å, b = 8.6514 Å, c = 8.6514 Å
α = 60.42°, β = 60.42°, γ = 60.42°
Sites, in units of the cell vectors:
Mn 0.0000 0.0000 0.0000
Mn 0.4970 0.4970 0.4970
Nb 0.8518 0.8518 0.8518
Ni 0.1393 0.1393 0.1393
Ni 0.3536 0.3536 0.3536
Ni 0.6390 0.6390 0.6390
P 0.0443 0.4470 0.7409
P 0.2504 0.9500 0.5345
P 0.4470 0.7409 0.0443
P 0.5345 0.2504 0.9500
P 0.7409 0.0443 0.4470
P 0.9500 0.5345 0.2504
O 0.0544 0.2574 0.9033
O 0.0875 0.9284 0.7360
O 0.1019 0.5025 0.3132
O 0.1782 0.9893 0.3867
O 0.2395 0.4445 0.5884
O 0.2574 0.9033 0.0544
O 0.3132 0.1019 0.5025
O 0.3867 0.1782 0.9893
O 0.4057 0.7521 0.5543
O 0.4445 0.5884 0.2395
O 0.4937 0.6656 0.8956
O 0.5025 0.3132 0.1019
O 0.5543 0.4057 0.7521
O 0.5884 0.2395 0.4445
O 0.6097 0.8143 0.9864
O 0.6656 0.8956 0.4937
O 0.7360 0.0875 0.9284
O 0.7521 0.5543 0.4057
O 0.8143 0.9864 0.6097
O 0.8956 0.4937 0.6656
O 0.9033 0.0544 0.2574
O 0.9284 0.7360 0.0875
O 0.9864 0.6097 0.8143
O 0.9893 0.3867 0.1782

Largest 10 diffraction maxima, most intense first, 2θ from 10° to 80°:
2θ 20.40, 4.353 Å, rel. 1000
2θ 24.03, 3.703 Å, rel. 903
2θ 32.71, 2.737 Å, rel. 726
2θ 35.74, 2.512 Å, rel. 535
2θ 46.91, 1.937 Å, rel. 329
2θ 55.88, 1.645 Å, rel. 310
2θ 49.21, 1.851 Å, rel. 279
2θ 20.53, 4.326 Å, rel. 225
2θ 62.29, 1.491 Å, rel. 205
2θ 56.10, 1.639 Å, rel. 158